(1)
Starting from a PBE-relaxed structure, the powder X-ray diffraction pattern of LaZnPt3 was computed for copper Kα.
Neutral-atom scattering factors, no anomalous dispersion.

The 10 most intense peaks (2θ from 5° to 70°), by angle:
two_theta, d_spacing, intensity
19.19, 4.626, 11
29.65, 3.013, 100
36.47, 2.463, 57
37.75, 2.383, 40
38.94, 2.313, 72
46.73, 1.944, 21
55.36, 1.660, 52
60.69, 1.526, 26
61.57, 1.506, 19
63.24, 1.470, 12

Structure:
```
LaZnPt3
1.0
5.755 0.000 0.000
0.000 7.776 0.000
0.000 0.000 4.765
La Zn Pt
2 2 6
direct
0.000 0.000 0.000
0.500 0.500 0.000
0.000 0.500 0.500
0.500 0.000 0.500
0.000 0.500 0.000
0.235 0.242 0.500
0.265 0.742 0.500
0.500 0.000 0.000
0.735 0.258 0.500
0.765 0.758 0.500
```


(2)
Starting from a PBE-relaxed structure, the powder X-ray diffraction pattern of K6GaBr8 was computed for copper Kα.
Neutral-atom scattering factors, no anomalous dispersion.

The 10 most intense peaks (2θ from 5° to 70°), by angle:
two_theta, d_spacing, intensity
16.01, 5.536, 67
22.33, 3.981, 25
30.35, 2.945, 100
31.50, 2.840, 86
33.17, 2.701, 51
41.93, 2.155, 21
45.57, 1.991, 19
46.59, 1.949, 24
50.55, 1.805, 18
52.06, 1.757, 15

Structure:
```
K6GaBr8
1.0
9.357 0.000 0.000
-4.678 8.103 0.000
0.000 0.000 7.581
K Ga Br
6 1 8
direct
0.000 0.383 0.223
0.000 0.617 0.777
0.383 0.000 0.223
0.383 0.383 0.777
0.617 0.000 0.777
0.617 0.617 0.223
0.000 0.000 0.500
0.000 0.261 0.694
0.000 0.739 0.306
0.261 0.000 0.694
0.261 0.261 0.306
0.333 0.667 0.000
0.667 0.333 0.000
0.739 0.000 0.306
0.739 0.739 0.694
```


(3)
Starting from a PBE-relaxed structure, the powder X-ray diffraction pattern of Ho2Ga5Cu was computed for copper Kα.
Neutral-atom scattering factors, no anomalous dispersion.

The 10 most intense peaks (2θ from 5° to 70°), by angle:
two_theta, d_spacing, intensity
21.18, 4.194, 13
29.70, 3.008, 18
36.77, 2.444, 100
41.85, 2.159, 14
43.14, 2.097, 35
47.36, 1.919, 9
53.25, 1.720, 7
61.66, 1.504, 17
62.65, 1.483, 11
65.98, 1.416, 7

Structure:
```
Ho2Ga5Cu
1.0
5.931 0.000 0.000
0.000 5.931 0.000
0.000 0.000 8.635
Ho Ga Cu
4 10 2
direct
0.000 0.500 0.000
0.000 0.500 0.500
0.500 0.000 0.000
0.500 0.000 0.500
0.000 0.000 0.027
0.235 0.235 0.751
0.235 0.765 0.751
0.265 0.265 0.251
0.265 0.735 0.251
0.500 0.500 0.527
0.735 0.265 0.251
0.735 0.735 0.251
0.765 0.235 0.751
0.765 0.765 0.751
0.000 0.000 0.411
0.500 0.500 0.911
```


(4)
Starting from a PBE-relaxed structure, the powder X-ray diffraction pattern of Tm2TiSe was computed for copper Kα.
Neutral-atom scattering factors, no anomalous dispersion.

The 10 most intense peaks (2θ from 5° to 70°), by angle:
two_theta, d_spacing, intensity
9.19, 9.626, 96
27.80, 3.209, 25
29.38, 3.040, 57
29.87, 2.991, 50
31.79, 2.815, 19
33.16, 2.702, 100
38.59, 2.333, 31
43.09, 2.099, 76
51.80, 1.765, 45
69.59, 1.351, 18

Structure:
```
Tm2TiSe
1.0
3.530 0.000 0.000
-1.765 3.057 0.000
0.000 0.000 28.877
Tm Ti Se
6 3 3
direct
0.000 0.000 0.101
0.000 0.000 0.899
0.333 0.667 0.565
0.333 0.667 0.768
0.667 0.333 0.232
0.667 0.333 0.435
0.000 0.000 0.000
0.333 0.667 0.667
0.667 0.333 0.333
0.000 0.000 0.500
0.333 0.667 0.167
0.667 0.333 0.833
```


(5)
Starting from a PBE-relaxed structure, the powder X-ray diffraction pattern of Pr2Er3ScSe6 was computed for copper Kα.
Neutral-atom scattering factors, no anomalous dispersion.

The 10 most intense peaks (2θ from 5° to 70°), by angle:
two_theta, d_spacing, intensity
26.82, 3.324, 7
30.88, 2.896, 100
43.80, 2.067, 13
44.14, 2.052, 24
44.36, 2.042, 24
44.62, 2.031, 12
54.39, 1.687, 6
54.77, 1.676, 6
55.27, 1.662, 13
64.30, 1.449, 8

Structure:
```
Pr2Er3ScSe6
1.0
8.932 -2.031 0.000
8.932 2.031 0.000
-1.968 0.000 8.031
Pr Er Sc Se
2 3 1 6
direct
0.168 0.168 0.335
0.832 0.832 0.665
0.173 0.173 0.836
0.500 0.500 0.500
0.827 0.827 0.164
0.500 0.500 0.000
0.006 0.006 0.760
0.339 0.339 0.405
0.339 0.339 0.933
0.661 0.661 0.067
0.661 0.661 0.595
0.994 0.994 0.240
```


(6)
Starting from a PBE-relaxed structure, the powder X-ray diffraction pattern of Ac2ZnGa12 was computed for copper Kα.
Neutral-atom scattering factors, no anomalous dispersion.

The 10 most intense peaks (2θ from 5° to 70°), by angle:
two_theta, d_spacing, intensity
19.63, 4.522, 18
30.23, 2.957, 100
30.34, 2.946, 69
36.40, 2.468, 34
39.87, 2.261, 59
40.13, 2.247, 38
50.91, 1.794, 37
57.86, 1.594, 16
66.51, 1.406, 21
66.79, 1.401, 20

Structure:
```
Ac2ZnGa12
1.0
6.395 0.000 0.000
0.000 6.395 0.000
0.000 0.000 15.535
Ac Zn Ga
4 2 24
direct
0.250 0.750 0.247
0.250 0.750 0.753
0.750 0.250 0.247
0.750 0.250 0.753
0.250 0.750 0.000
0.750 0.250 0.000
0.001 0.501 0.087
0.001 0.999 0.913
0.073 0.573 0.570
0.073 0.927 0.430
0.250 0.250 0.177
0.250 0.250 0.343
0.250 0.250 0.657
0.250 0.250 0.823
0.427 0.573 0.430
0.427 0.927 0.570
0.499 0.501 0.913
0.499 0.999 0.087
0.501 0.001 0.913
0.501 0.499 0.087
0.573 0.073 0.430
0.573 0.427 0.570
0.750 0.750 0.177
0.750 0.750 0.343
0.750 0.750 0.657
0.750 0.750 0.823
0.927 0.073 0.570
0.927 0.427 0.430
0.999 0.001 0.087
0.999 0.499 0.913
```


(7)
Starting from a PBE-relaxed structure, the powder X-ray diffraction pattern of Tm4C7 was computed for copper Kα.
Neutral-atom scattering factors, no anomalous dispersion.

The 10 most intense peaks (2θ from 5° to 70°), by angle:
two_theta, d_spacing, intensity
28.57, 3.124, 27
28.91, 3.089, 34
29.12, 3.066, 32
30.02, 2.977, 100
32.50, 2.755, 37
33.17, 2.701, 24
34.04, 2.633, 39
35.13, 2.554, 47
50.58, 1.805, 21
55.98, 1.643, 19

Structure:
```
Tm4C7
1.0
3.643 0.000 0.000
0.000 13.619 0.000
-1.659 0.000 6.132
Tm C
8 14
direct
0.058 0.161 0.161
0.058 0.339 0.661
0.366 0.055 0.740
0.366 0.445 0.240
0.634 0.555 0.760
0.634 0.945 0.260
0.942 0.661 0.339
0.942 0.839 0.839
0.000 0.000 0.000
0.000 0.500 0.500
0.268 0.604 0.050
0.268 0.896 0.550
0.376 0.697 0.045
0.376 0.803 0.545
0.466 0.214 0.924
0.466 0.286 0.424
0.534 0.714 0.576
0.534 0.786 0.076
0.624 0.197 0.455
0.624 0.303 0.955
0.732 0.104 0.450
0.732 0.396 0.950
```


(8)
Starting from a PBE-relaxed structure, the powder X-ray diffraction pattern of SmErTm4S8 was computed for copper Kα.
Neutral-atom scattering factors, no anomalous dispersion.

The 10 most intense peaks (2θ from 5° to 70°), by angle:
two_theta, d_spacing, intensity
13.58, 6.522, 9
22.26, 3.994, 25
26.16, 3.406, 100
27.35, 3.261, 16
31.68, 2.824, 19
39.06, 2.306, 11
41.54, 2.174, 44
45.42, 1.997, 56
53.17, 1.723, 15
63.21, 1.471, 16

Structure:
```
SmErTm4S8
1.0
3.992 2.305 6.529
-3.992 2.305 6.529
0.000 -4.609 6.529
Sm Er Tm S
1 1 4 8
direct
0.000 0.000 0.000
0.375 0.375 0.375
0.375 0.375 0.873
0.375 0.873 0.375
0.750 0.750 0.750
0.873 0.375 0.375
0.135 0.135 0.592
0.135 0.592 0.135
0.136 0.136 0.136
0.145 0.618 0.618
0.592 0.135 0.135
0.617 0.617 0.617
0.619 0.145 0.619
0.619 0.618 0.145
```


(9)
Starting from a PBE-relaxed structure, the powder X-ray diffraction pattern of Ce2SbTe was computed for copper Kα.
Neutral-atom scattering factors, no anomalous dispersion.

The 10 most intense peaks (2θ from 5° to 70°), by angle:
two_theta, d_spacing, intensity
24.60, 3.618, 35
27.92, 3.196, 14
30.18, 2.961, 100
35.58, 2.523, 49
41.13, 2.194, 56
45.20, 2.006, 13
51.86, 1.763, 22
55.49, 1.656, 13
63.49, 1.465, 29
68.23, 1.375, 21

Structure:
```
Ce2SbTe
1.0
4.389 0.000 0.000
-2.194 3.801 0.000
0.000 0.000 23.619
Ce Sb Te
6 3 3
direct
0.000 0.000 0.000
0.000 0.000 0.175
0.333 0.667 0.667
0.333 0.667 0.842
0.667 0.333 0.333
0.667 0.333 0.509
0.000 0.000 0.586
0.333 0.667 0.253
0.667 0.333 0.920
0.000 0.000 0.756
0.333 0.667 0.422
0.667 0.333 0.089
```


(10)
Starting from a PBE-relaxed structure, the powder X-ray diffraction pattern of Pm2P7Ru12 was computed for copper Kα.
Neutral-atom scattering factors, no anomalous dispersion.

The 10 most intense peaks (2θ from 5° to 70°), by angle:
two_theta, d_spacing, intensity
28.84, 3.096, 13
36.83, 2.441, 100
39.67, 2.272, 8
40.09, 2.249, 9
44.23, 2.048, 10
45.76, 1.983, 20
46.04, 1.971, 12
48.44, 1.879, 7
51.10, 1.788, 16
64.63, 1.442, 8

Structure:
```
Pm2P7Ru12
1.0
9.459 0.000 0.000
-4.729 8.192 0.000
0.000 0.000 3.966
Pm P Ru
2 7 12
direct
0.000 0.000 0.000
0.333 0.667 0.500
0.089 0.445 0.000
0.270 0.221 0.500
0.356 0.911 0.000
0.555 0.644 0.000
0.667 0.333 0.000
0.779 0.049 0.500
0.951 0.730 0.500
0.058 0.283 0.500
0.090 0.692 0.000
0.226 0.942 0.500
0.308 0.399 0.000
0.396 0.172 0.000
0.546 0.420 0.500
0.580 0.126 0.500
0.601 0.910 0.000
0.717 0.774 0.500
0.776 0.604 0.000
0.828 0.224 0.000
0.874 0.454 0.500
```


(11)
Starting from a PBE-relaxed structure, the powder X-ray diffraction pattern of Ac4TbNd3 was computed for copper Kα.
Neutral-atom scattering factors, no anomalous dispersion.

The 10 most intense peaks (2θ from 5° to 70°), by angle:
two_theta, d_spacing, intensity
18.41, 4.819, 2
28.63, 3.118, 100
32.75, 2.734, 18
33.39, 2.684, 34
47.47, 1.915, 25
47.94, 1.898, 12
55.96, 1.643, 16
56.79, 1.621, 30
59.27, 1.559, 13
68.65, 1.367, 2

Structure:
```
Ac4TbNd3
1.0
10.937 0.000 0.000
0.000 7.592 0.000
0.000 0.000 7.590
Ac Tb Nd
8 2 6
direct
0.000 0.001 0.000
0.000 0.499 0.499
0.249 0.751 0.749
0.251 0.249 0.249
0.500 0.501 0.999
0.500 0.999 0.500
0.749 0.249 0.249
0.751 0.751 0.749
0.000 0.000 0.499
0.500 0.000 0.999
0.000 0.500 0.000
0.250 0.248 0.749
0.250 0.752 0.249
0.500 0.500 0.500
0.750 0.248 0.749
0.750 0.752 0.249
```